BaYF5: theoretical X-ray diffraction stick pattern (Cu Kα (λ = 1.5418 Å)), based on a structure optimized by DFT (GGA-PBE).
Peak positions follow from Bragg's law for the DFT cell and can differ from measured ones.

```
56
Lattice="11.046 0.000 0.000 0.000 7.697 0.000 -10.500 0.000 11.268" Properties=species:S:1:pos:R:3 pbc="T T T"
Ba -1.679 1.917 2.215
Ba -6.929 1.931 7.849
Ba -4.779 5.768 7.919
Ba 0.472 5.778 2.285
Ba 0.074 1.919 8.983
Ba 5.324 1.929 3.349
Ba 7.474 5.766 3.419
Ba 2.224 5.780 9.053
Y -2.847 1.887 5.914
Y 2.403 1.962 0.280
Y -0.984 5.747 6.763
Y 4.266 5.798 1.129
Y -3.721 1.898 10.139
Y 1.529 1.950 4.505
Y -1.857 5.735 10.987
Y 3.393 5.810 5.353
F -3.307 0.639 4.044
F -8.558 3.209 9.678
F -8.569 0.658 9.700
F -3.319 3.191 4.066
F 0.208 1.927 0.352
F -5.042 1.921 5.986
F -1.113 5.762 4.557
F -6.363 5.783 10.191
F 2.588 4.268 0.835
F -2.662 7.277 6.469
F -4.817 0.464 8.889
F 0.433 3.384 3.256
F -2.568 4.129 6.496
F 2.682 7.416 0.862
F 0.500 0.474 3.251
F -4.751 3.374 8.885
F -0.752 1.884 5.233
F -6.002 1.964 10.866
F -2.458 1.850 8.113
F 2.792 1.998 2.479
F -2.247 5.699 8.788
F 3.003 5.846 3.155
F 6.548 5.733 0.401
F 1.298 5.813 6.035
F 5.296 4.322 2.382
F 0.046 7.223 8.016
F -2.137 0.281 10.406
F 3.113 3.568 4.772
F 0.112 4.313 8.012
F 5.362 7.233 2.378
F 3.208 0.420 4.799
F -2.042 3.429 10.433
F 6.909 1.914 1.077
F 1.659 1.935 6.710
F 5.587 5.776 5.282
F 0.337 5.769 10.916
F 3.864 4.506 7.202
F 9.114 7.039 1.568
F 9.103 4.487 1.590
F 3.853 7.058 7.224
```

Largest 6 diffraction maxima, most intense first, 10° ≤ 2θ ≤ 80°:
2θ (°), I (rel.)
23.11, 100
27.69, 67
25.88, 54
27.29, 47
43.54, 32
42.34, 24

---

SrHfN2: theoretical X-ray diffraction stick pattern (Cu Kα (λ = 1.5418 Å)), based on a structure optimized by DFT (GGA-PBE).
Peak positions follow from Bragg's law for the DFT cell and can differ from measured ones.

```
8
Lattice="4.043 0.000 0.000 0.000 4.043 0.000 0.000 0.000 8.291" Properties=species:S:1:pos:R:3 pbc="T T T"
Sr 1.011 1.011 1.175
Sr 3.032 3.032 7.117
Hf 1.011 1.011 4.913
Hf 3.032 3.032 3.378
N 1.011 1.011 6.921
N 1.011 3.032 4.146
N 3.032 1.011 4.146
N 3.032 3.032 1.371
```

Largest 6 diffraction maxima, most intense first, 10° ≤ 2θ ≤ 80°:
2θ (°), I (rel.)
30.89, 100
31.29, 61
10.67, 50
55.44, 41
44.83, 27
54.69, 17

---

NbPO5: theoretical X-ray diffraction stick pattern (Cu Kα (λ = 1.5418 Å)), based on a structure optimized by DFT (GGA-PBE).
Peak positions follow from Bragg's law for the DFT cell and can differ from measured ones.

```
14
Lattice="7.973 0.000 0.000 0.000 5.374 0.000 -1.303 0.000 4.731" Properties=species:S:1:pos:R:3 pbc="T T T"
Nb -0.326 0.876 1.183
Nb -0.977 4.497 3.548
P 3.661 2.340 1.183
P 3.009 3.033 3.548
O -0.977 2.616 3.548
O -0.326 2.758 1.183
O 1.235 0.120 0.260
O 0.584 5.254 2.625
O 2.318 2.227 2.333
O 1.666 3.146 4.698
O 5.003 2.227 0.033
O 4.352 3.146 2.398
O 6.086 0.120 2.106
O 5.434 5.254 4.471
```

Largest 6 diffraction maxima, most intense first, 10° ≤ 2θ ≤ 80°:
2θ (°), I (rel.)
20.16, 100
11.51, 93
23.14, 56
25.08, 51
25.45, 32
41.86, 27